This entry pairs a crystal structure of Sc2Ga4NiPd with its theoretical X-ray powder pattern. Radiation: Cu Kα. Structure: a crystal structure in OQMD, relaxed with GGA-PBE.

Main lines, by angle (2θ = 10–90°):
- 2θ = 18.23°, 4.866 Å, rel. 26, hkl 0 0 2
- 2θ = 22.79°, 3.902 Å, rel. 24, hkl 1 0 2
- 2θ = 36.18°, 2.483 Å, rel. 100, hkl 2 1 1
- 2θ = 37.78°, 2.381 Å, rel. 69, hkl 1 1 3
- 2θ = 39.53°, 2.280 Å, rel. 30, hkl 1 0 4
- 2θ = 43.57°, 2.077 Å, rel. 53, hkl 0 2 0
- 2θ = 45.03°, 2.013 Å, rel. 62, hkl 2 1 3
- 2θ = 46.55°, 1.951 Å, rel. 22, hkl 2 0 4
- 2θ = 48.09°, 1.892 Å, rel. 45, hkl 3 1 1
- 2θ = 71.57°, 1.318 Å, rel. 19, hkl 0 1 7

Structure:
abc: 6.5326 4.1544 9.7319
angles: 90.00 90.00 90.00
Element x y z (fractional)
Sc (0.0000, 0.0000, 0.0000)
Sc (0.0000, 0.5000, 0.5000)
Sc (0.5000, 0.0000, 0.1562)
Sc (0.5000, 0.5000, 0.6562)
Ga (0.1938, 0.0000, 0.7091)
Ga (0.1938, 0.5000, 0.2091)
Ga (0.2904, 0.0000, 0.4431)
Ga (0.2904, 0.5000, 0.9431)
Ga (0.7096, 0.0000, 0.4431)
Ga (0.7096, 0.5000, 0.9431)
Ga (0.8062, 0.0000, 0.7091)
Ga (0.8062, 0.5000, 0.2091)
Ni (0.0000, 0.0000, 0.2813)
Ni (0.0000, 0.5000, 0.7813)
Pd (0.5000, 0.0000, 0.8717)
Pd (0.5000, 0.5000, 0.3717)